Simulated powder diffraction line list
Compound: FeH24C6I2O6
Radiation: Cu Kα (λ = 1.5418 Å)
Structure: DFT lattice parameters and positions (PBE+U)

Atomic structure:
Unit cell a=7.3759 b=8.4354 c=8.4447 alpha=60.15 beta=89.62 gamma=89.99
Positions (direct):
Fe1 0.0000 0.0000 0.0000
H1 0.1729 0.4251 0.8334
H2 0.1735 0.8332 0.7422
H3 0.1737 0.7408 0.4257
H4 0.1761 0.6615 0.1142
H5 0.1768 0.1130 0.2247
H6 0.1775 0.2241 0.6620
H7 0.3321 0.6669 0.8966
H8 0.3333 0.4369 0.6667
H9 0.3330 0.8967 0.4362
H10 0.3706 0.2837 0.9050
H11 0.3711 0.9061 0.8111
H12 0.3724 0.8104 0.2831
H13 0.6276 0.1896 0.7169
H14 0.6289 0.0939 0.1889
H15 0.6294 0.7163 0.0950
H16 0.6670 0.1033 0.5638
H17 0.6667 0.5631 0.3333
H18 0.6679 0.3331 0.1034
H19 0.8225 0.7759 0.3380
H20 0.8232 0.8870 0.7753
H21 0.8239 0.3385 0.8858
H22 0.8263 0.2592 0.5743
H23 0.8265 0.1668 0.2578
H24 0.8271 0.5749 0.1666
C1 0.2670 0.3465 0.7984
C2 0.2670 0.7989 0.8552
C3 0.2678 0.8545 0.3463
C4 0.7322 0.1455 0.6537
C5 0.7330 0.2011 0.1448
C6 0.7330 0.6535 0.2016
I1 0.2384 0.3335 0.3329
I2 0.7616 0.6665 0.6671
O1 0.1670 0.7876 0.0084
O2 0.1679 0.2046 0.7878
O3 0.1699 0.0067 0.2046
O4 0.8301 0.9933 0.7954
O5 0.8321 0.7954 0.2122
O6 0.8330 0.2124 0.9916

Top 12 peaks for 10° ≤ 2θ ≤ 80°, in order of falling intensity:
17.04°, rel. 100, hkl 1 1 1; 21.04°, rel. 83, hkl 0 2 1; 17.12°, rel. 62, hkl 1 0 -1; 34.65°, rel. 61, hkl 1 1 -2; 27.15°, rel. 58, hkl 1 0 2; 27.27°, rel. 54, hkl -1 2 2; 24.15°, rel. 39, hkl 2 0 0; 24.33°, rel. 27, hkl -1 2 1; 12.00°, rel. 22, hkl 1 0 0; 27.03°, rel. 18, hkl 2 1 1; 34.52°, rel. 18, hkl 1 -1 2; 44.33°, rel. 16, hkl 3 2 2